Structure and calculated PXRD pattern of Hg3P2Cl2 (a cell relaxed with PBE; Cu Kα X-rays).
Lines closer than 0.1° are merged.

Structure:
Unit cell a=12.885 b=10.783 c=12.026 alpha=90.00 beta=107.75 gamma=90.00
Space group P2_1/c (No. 14)
Asymmetric unit:
Hg 0.002 0.046 0.249 x4
Hg 0.102 0.748 0.036 x4
Hg 0.217 0.106 0.620 x4
Hg 0.238 0.079 0.028 x4
Hg 0.354 0.737 0.869 x4
Hg 0.426 0.215 0.348 x4
P 0.062 0.535 0.078 x4
P 0.063 0.538 0.466 x4
P 0.364 0.246 0.131 x4
P 0.467 0.142 0.551 x4
Cl 0.149 0.683 0.806 x4
Cl 0.165 0.213 0.306 x4
Cl 0.325 0.511 0.352 x4
Cl 0.327 0.711 0.617 x4

Peak list (6 most intense, 15° ≤ 2θ ≤ 90°, sorted by position)
| 2θ (°) | I (rel.) | hkl |
| --- | --- | --- |
| 18.0 | 47 | 1 2 0 |
| 22.5 | 45 | 3 0 -2 |
| 24.3 | 100 | 2 0 2 |
| 25.8 | 47 | 1 3 0 |
| 29.8 | 58 | 1 0 -4 |
| 33.6 | 46 | 4 2 0 |


Structure and calculated PXRD pattern of La5SmHo2 (a cell relaxed with PBE; Cu Kα X-rays).
Lines closer than 0.1° are merged.

Structure:
Unit cell a=9.357 b=9.357 c=12.960 alpha=90.00 beta=90.00 gamma=90.00
Space group I4/mcm (No. 140)
Asymmetric unit:
La 0.000 0.000 0.000 x4
La 0.149 0.351 0.166 x16
Sm 0.000 0.000 0.250 x4
Ho 0.146 0.354 0.500 x8

Peak list (6 most intense, 15° ≤ 2θ ≤ 90°, sorted by position)
| 2θ (°) | I (rel.) | hkl |
| --- | --- | --- |
| 29.7 | 100 | 2 1 3 |
| 30.2 | 64 | 3 1 0 |
| 43.2 | 10 | 4 2 0 |
| 45.1 | 10 | 4 1 3 |
| 52.4 | 10 | 3 1 6 |
| 57.1 | 25 | 5 2 3 |


Structure and calculated PXRD pattern of Er3In2Pd6 (a cell relaxed with PBE; Cu Kα X-rays).
Lines closer than 0.1° are merged.

Structure:
Unit cell a=9.656 b=9.656 c=9.656 alpha=90.00 beta=90.00 gamma=90.00
Space group Im-3m (No. 229)
Asymmetric unit:
Er 0.000 0.000 0.296 x12
In 0.250 0.250 0.250 x8
Pd 0.000 0.345 0.345 x24

Peak list (6 most intense, 15° ≤ 2θ ≤ 90°, sorted by position)
| 2θ (°) | I (rel.) | hkl |
| --- | --- | --- |
| 29.2 | 18 | 3 1 0 |
| 32.1 | 31 | 2 2 2 |
| 34.8 | 22 | 3 2 1 |
| 39.6 | 100 | 3 3 0 |
| 41.8 | 15 | 4 2 0 |
| 71.8 | 29 | 6 3 3 |